(1)
Calculated powder X-ray diffraction pattern of Y2BeRe2 for Cu Kα, from a DFT-relaxed cell (PBE, Alexandria).

Structure:
abc: 6.553 6.553 4.605
angles: 90.00 90.00 90.00
Space group P4/mbm (No. 127)
Symmetry-distinct sites (fractional):
Y1 0.177 0.323 0.000 x4
Be1 0.000 0.000 0.500 x2
Re1 0.130 0.630 0.500 x4

Largest 10 diffraction maxima, by angle, 2θ = 5–70°:
two_theta, Rel. int., index
19.2, 32, 1 1 0
19.3, 14, 0 0 1
27.3, 17, 1 1 1
30.5, 9, 2 1 0
36.3, 100, 2 1 1
39.1, 20, 0 0 2
43.7, 15, 3 1 0
59.9, 13, 3 3 0
60.1, 11, 3 1 2
69.1, 15, 2 1 3

(2)
Calculated powder X-ray diffraction pattern of La10Sm4Tm for Cu Kα, from a DFT-relaxed cell (PBE, Alexandria).

Structure:
abc: 10.592 10.592 9.420
angles: 90.00 90.00 90.00
Space group I4/mmm (No. 139)
Symmetry-distinct sites (fractional):
La1 0.000 0.500 0.250 x4
La2 0.149 0.149 0.176 x16
Sm1 0.000 0.297 0.500 x8
Tm1 0.000 0.000 0.500 x2

Largest 10 diffraction maxima, by angle, 2θ = 5–70°:
two_theta, Rel. int., index
26.6, 25, 3 1 0
27.0, 100, 3 0 1
29.7, 60, 1 0 3
30.5, 24, 2 2 2
32.8, 81, 3 1 2
36.0, 31, 3 3 0
39.0, 20, 4 0 2
52.1, 44, 4 3 3
55.3, 21, 3 0 5
68.9, 17, 7 0 3

(3)
Calculated powder X-ray diffraction pattern of Ag4Sn3Se8 for Cu Kα, from a DFT-relaxed cell (PBE, Alexandria).

Structure:
abc: 8.0263 8.0263 20.6882
angles: 90.00 90.00 120.00
Space group R-3m (No. 166, hexagonal axes)
Symmetry-distinct sites (fractional):
Ag1 0.0000 0.0000 0.0000 x3
Ag2 0.0000 0.0000 0.1337 x6
Ag3 0.0000 0.0000 0.5000 x3
Sn1 0.0000 0.5000 0.0000 x9
Se1 0.0000 0.0000 0.2577 x6
Se2 0.0218 0.5109 0.2554 x18

Largest 10 diffraction maxima, by angle, 2θ = 5–70°:
two_theta, Rel. int., index
12.8, 17, 0 0 3
22.2, 27, 1 1 0
25.7, 29, 1 1 3
26.0, 38, 0 2 1
31.0, 100, 0 2 4
40.0, 27, 0 2 7
43.6, 77, 2 0 8
45.2, 72, 2 2 0
55.8, 18, 4 0 4
64.6, 23, 0 4 8

(4)
Calculated powder X-ray diffraction pattern of Sc5Sb3 for Cu Kα, from a DFT-relaxed cell (PBE, Alexandria).

Structure:
abc: 11.133 8.774 7.661
angles: 90.00 90.00 90.00
Space group Pnma (No. 62)
Symmetry-distinct sites (fractional):
Sc1 0.006 0.250 0.025 x4
Sc2 0.065 0.060 0.695 x8
Sc3 0.213 0.750 0.343 x4
Sc4 0.231 0.250 0.323 x4
Sb1 0.024 0.750 0.594 x4
Sb2 0.175 0.510 0.064 x8

Largest 10 diffraction maxima, by angle, 2θ = 5–70°:
two_theta, Rel. int., index
24.7, 65, 1 2 1
25.9, 41, 2 2 0
26.7, 100, 3 0 1
32.0, 87, 1 2 2
33.7, 65, 3 2 1
34.3, 46, 4 0 1
35.0, 87, 2 2 2
38.3, 43, 4 2 0
41.2, 50, 0 4 0
44.1, 38, 2 2 3

Repeat the third record exactly.
Calculated powder X-ray diffraction pattern of Ag4Sn3Se8 for Cu Kα, from a DFT-relaxed cell (PBE, Alexandria).

Structure:
abc: 8.0263 8.0263 20.6882
angles: 90.00 90.00 120.00
Space group R-3m (No. 166, hexagonal axes)
Symmetry-distinct sites (fractional):
Ag1 0.0000 0.0000 0.0000 x3
Ag2 0.0000 0.0000 0.1337 x6
Ag3 0.0000 0.0000 0.5000 x3
Sn1 0.0000 0.5000 0.0000 x9
Se1 0.0000 0.0000 0.2577 x6
Se2 0.0218 0.5109 0.2554 x18

Largest 10 diffraction maxima, by angle, 2θ = 5–70°:
two_theta, Rel. int., index
12.8, 17, 0 0 3
22.2, 27, 1 1 0
25.7, 29, 1 1 3
26.0, 38, 0 2 1
31.0, 100, 0 2 4
40.0, 27, 0 2 7
43.6, 77, 2 0 8
45.2, 72, 2 2 0
55.8, 18, 4 0 4
64.6, 23, 0 4 8